[1]
Diffraction record for MgZn2AgAu2. The XRD peak list is theoretical, not measured: it uses a crystal structure in Alexandria, relaxed with PBE and Cu Ka.
No peak broadening, texture or thermal motion is included.

Structural model:
abc: 4.5678 4.5678 5.6106
angles: 90.00 90.00 120.00
Fractional positions:
1 Mg 0.0000 0.0000 0.0000
2 Zn 0.3333 0.6667 0.2850
3 Zn 0.6667 0.3333 0.7150
4 Ag 0.0000 0.0000 0.5000
5 Au 0.3333 0.6667 0.7773
6 Au 0.6667 0.3333 0.2227

Main lines, sorted by position (2θ = 10–90°):
- 22.5 deg, d 3.956, intensity 8
- 27.6 deg, d 3.233, intensity 36
- 31.9 deg, d 2.805, intensity 10
- 39.4 deg, d 2.286, intensity 100
- 48.8 deg, d 1.865, intensity 8
- 51.6 deg, d 1.771, intensity 15
- 57.0 deg, d 1.617, intensity 15
- 64.5 deg, d 1.445, intensity 7
- 71.5 deg, d 1.319, intensity 24
- 80.3 deg, d 1.195, intensity 9



[2]
Diffraction record for PrGeSeO2. The XRD peak list is theoretical, not measured: it uses a crystal structure in Alexandria, relaxed with PBE and Cu Ka.
No peak broadening, texture or thermal motion is included.

Structural model:
abc: 6.6222 6.6222 5.3097
angles: 90.00 90.00 131.29
Fractional positions:
1 Pr 0.1272 0.8728 0.7500
2 Pr 0.8728 0.1272 0.2500
3 Ge 0.4375 0.5625 0.7500
4 Ge 0.5625 0.4375 0.2500
5 Se 0.2522 0.7478 0.2500
6 Se 0.7478 0.2522 0.7500
7 O 0.2726 0.2726 0.0000
8 O 0.2726 0.2726 0.5000
9 O 0.7274 0.7274 0.0000
10 O 0.7274 0.7274 0.5000

Main lines, sorted by position (2θ = 10–90°):
- 22.3 deg, d 3.986, intensity 17
- 27.5 deg, d 3.239, intensity 23
- 32.4 deg, d 2.765, intensity 100
- 32.8 deg, d 2.731, intensity 28
- 33.8 deg, d 2.655, intensity 26
- 44.1 deg, d 2.053, intensity 11
- 47.8 deg, d 1.904, intensity 29
- 58.3 deg, d 1.583, intensity 18
- 59.5 deg, d 1.553, intensity 17
- 59.7 deg, d 1.549, intensity 10



[3]
Diffraction record for NbOs2N. The XRD peak list is theoretical, not measured: it uses a crystal structure in Alexandria, relaxed with PBE and Cu Ka.
No peak broadening, texture or thermal motion is included.

Structural model:
abc: 5.8312 5.8312 5.8312
angles: 124.00 124.00 83.20
Fractional positions:
1 Nb 0.0000 0.0000 0.0000
2 Nb 0.7500 0.2500 0.5000
3 Os 0.2238 0.6250 0.0988
4 Os 0.3750 0.4738 0.5988
5 Os 0.5262 0.1250 0.9012
6 Os 0.8750 0.7762 0.4012
7 N 0.2500 0.7500 0.5000
8 N 0.5000 0.5000 0.0000

Main lines, sorted by position (2θ = 10–90°):
- 30.9 deg, d 2.895, intensity 100
- 34.9 deg, d 2.568, intensity 19
- 38.2 deg, d 2.357, intensity 64
- 48.6 deg, d 1.873, intensity 19
- 51.1 deg, d 1.786, intensity 13
- 53.7 deg, d 1.705, intensity 25
- 62.0 deg, d 1.496, intensity 12
- 69.0 deg, d 1.361, intensity 10
- 69.9 deg, d 1.346, intensity 17
- 84.6 deg, d 1.145, intensity 10



[4]
Diffraction record for Pu3As2F. The XRD peak list is theoretical, not measured: it uses a crystal structure in Alexandria, relaxed with PBE and Cu Ka.
No peak broadening, texture or thermal motion is included.

Structural model:
abc: 6.9116 6.9116 7.0411
angles: 90.00 90.00 59.54
Fractional positions:
1 Pu 0.0680 0.9320 0.5000
2 Pu 0.3186 0.3698 0.9248
3 Pu 0.3698 0.3186 0.4248
4 Pu 0.6302 0.6814 0.9248
5 Pu 0.6814 0.6302 0.4248
6 Pu 0.9320 0.0680 0.0000
7 As 0.0106 0.3304 0.6966
8 As 0.3304 0.0106 0.1966
9 As 0.6696 0.9894 0.6966
10 As 0.9894 0.6696 0.1966
11 F 0.2565 0.7435 0.8106
12 F 0.7435 0.2565 0.3106

Main lines, sorted by position (2θ = 10–90°):
- 25.3 deg, d 3.521, intensity 30
- 25.8 deg, d 3.456, intensity 86
- 26.0 deg, d 3.432, intensity 33
- 28.8 deg, d 3.102, intensity 20
- 28.9 deg, d 3.085, intensity 21
- 29.5 deg, d 3.032, intensity 28
- 36.4 deg, d 2.466, intensity 100
- 36.6 deg, d 2.457, intensity 40
- 45.3 deg, d 2.000, intensity 20
- 45.7 deg, d 1.986, intensity 22



[5]
Diffraction record for Ac6In6Ge. The XRD peak list is theoretical, not measured: it uses a crystal structure in Alexandria, relaxed with PBE and Cu Ka.
No peak broadening, texture or thermal motion is included.

Structural model:
abc: 6.8439 6.8439 11.4791
angles: 90.00 90.00 120.00
Fractional positions:
1 Ac 0.0000 0.0000 0.2275
2 Ac 0.0000 0.0000 0.7725
3 Ac 0.3333 0.6667 0.0000
4 Ac 0.3333 0.6667 0.5000
5 Ac 0.6667 0.3333 0.0000
6 Ac 0.6667 0.3333 0.5000
7 In 0.0000 0.5000 0.2469
8 In 0.0000 0.5000 0.7531
9 In 0.5000 0.0000 0.2469
10 In 0.5000 0.0000 0.7531
11 In 0.5000 0.5000 0.2469
12 In 0.5000 0.5000 0.7531
13 Ge 0.0000 0.0000 0.5000

Main lines, sorted by position (2θ = 10–90°):
- 21.6 deg, d 4.123, intensity 42
- 26.0 deg, d 3.422, intensity 60
- 30.4 deg, d 2.939, intensity 36
- 31.2 deg, d 2.870, intensity 39
- 34.0 deg, d 2.633, intensity 100
- 41.0 deg, d 2.199, intensity 33
- 53.6 deg, d 1.711, intensity 28
- 63.3 deg, d 1.470, intensity 31
- 65.0 deg, d 1.435, intensity 21
- 89.1 deg, d 1.099, intensity 25



[6]
Diffraction record for Ca3In. The XRD peak list is theoretical, not measured: it uses a crystal structure in Alexandria, relaxed with PBE and Cu Ka.
No peak broadening, texture or thermal motion is included.

Structural model:
abc: 3.8447 3.8447 9.5962
angles: 90.00 90.00 90.00
Fractional positions:
1 Ca 0.0000 0.0000 0.0000
2 Ca 0.5000 0.5000 0.2992
3 Ca 0.5000 0.5000 0.7008
4 In 0.0000 0.0000 0.5000

Main lines, sorted by position (2θ = 10–90°):
- 18.5 deg, d 4.798, intensity 12
- 23.1 deg, d 3.845, intensity 10
- 29.8 deg, d 3.000, intensity 100
- 32.9 deg, d 2.719, intensity 43
- 34.3 deg, d 2.616, intensity 13
- 36.5 deg, d 2.459, intensity 22
- 44.5 deg, d 2.035, intensity 11
- 47.3 deg, d 1.922, intensity 18
- 50.8 deg, d 1.799, intensity 14
- 56.9 deg, d 1.619, intensity 29



[7]
Diffraction record for La3Pm3Pr4. The XRD peak list is theoretical, not measured: it uses a crystal structure in Alexandria, relaxed with PBE and Cu Ka.
No peak broadening, texture or thermal motion is included.

Structural model:
abc: 3.8813 9.7434 9.7434
angles: 90.24 90.00 90.00
Fractional positions:
1 La 0.0000 0.0000 0.0000
2 La 0.5000 0.1720 0.6670
3 La 0.5000 0.6670 0.1720
4 Pm 0.0000 0.3410 0.3410
5 Pm 0.0000 0.4997 0.8399
6 Pm 0.0000 0.8399 0.4997
7 Pr 0.5000 0.0431 0.3009
8 Pr 0.5000 0.3009 0.0431
9 Pr 0.5000 0.5423 0.5423
10 Pr 0.5000 0.7976 0.7976

Main lines, sorted by position (2θ = 10–90°):
- 29.0 deg, d 3.081, intensity 60
- 29.4 deg, d 3.036, intensity 26
- 30.9 deg, d 2.898, intensity 100
- 37.3 deg, d 2.413, intensity 7
- 38.1 deg, d 2.363, intensity 7
- 44.9 deg, d 2.018, intensity 12
- 46.8 deg, d 1.941, intensity 11
- 53.4 deg, d 1.714, intensity 14
- 56.0 deg, d 1.642, intensity 28
- 56.2 deg, d 1.638, intensity 9



[8]
Diffraction record for Pm2Sn3PdRh4. The XRD peak list is theoretical, not measured: it uses a crystal structure in Alexandria, relaxed with PBE and Cu Ka.
No peak broadening, texture or thermal motion is included.

Structural model:
abc: 4.1125 4.1125 12.2994
angles: 90.00 90.00 90.00
Fractional positions:
1 Pm 0.0000 0.5000 0.2217
2 Pm 0.5000 0.0000 0.7783
3 Sn 0.0000 0.0000 0.0000
4 Sn 0.0000 0.5000 0.6308
5 Sn 0.5000 0.0000 0.3692
6 Pd 0.5000 0.5000 0.0000
7 Rh 0.0000 0.0000 0.5000
8 Rh 0.0000 0.5000 0.8428
9 Rh 0.5000 0.0000 0.1572
10 Rh 0.5000 0.5000 0.5000

Main lines, sorted by position (2θ = 10–90°):
- 30.8 deg, d 2.904, intensity 48
- 34.1 deg, d 2.629, intensity 100
- 42.8 deg, d 2.112, intensity 57
- 44.0 deg, d 2.056, intensity 52
- 48.5 deg, d 1.878, intensity 9
- 54.7 deg, d 1.678, intensity 20
- 63.1 deg, d 1.473, intensity 18
- 64.0 deg, d 1.454, intensity 17
- 74.6 deg, d 1.272, intensity 20
- 80.1 deg, d 1.198, intensity 14



[9]
Diffraction record for Sm3Te4. The XRD peak list is theoretical, not measured: it uses a crystal structure in Alexandria, relaxed with PBE and Cu Ka.
No peak broadening, texture or thermal motion is included.

Structural model:
abc: 15.0291 15.0291 15.0291
angles: 17.02 17.02 17.02
Fractional positions:
1 Sm 0.0000 0.0000 0.0000
2 Sm 0.2463 0.2463 0.2463
3 Sm 0.7537 0.7537 0.7537
4 Te 0.1238 0.1238 0.1238
5 Te 0.3751 0.3751 0.3751
6 Te 0.6249 0.6249 0.6249
7 Te 0.8762 0.8762 0.8762

Main lines, sorted by position (2θ = 10–90°):
- 12.0 deg, d 7.404, intensity 7
- 28.2 deg, d 3.165, intensity 100
- 40.0 deg, d 2.252, intensity 38
- 40.6 deg, d 2.224, intensity 38
- 50.1 deg, d 1.819, intensity 20
- 58.3 deg, d 1.582, intensity 12
- 65.6 deg, d 1.423, intensity 17
- 66.4 deg, d 1.408, intensity 17
- 72.4 deg, d 1.306, intensity 7
- 73.4 deg, d 1.289, intensity 12



[10]
Diffraction record for Ca3Ga2Cu9. The XRD peak list is theoretical, not measured: it uses a crystal structure in Alexandria, relaxed with PBE and Cu Ka.
No peak broadening, texture or thermal motion is included.

Structural model:
abc: 7.9415 7.9415 7.9415
angles: 149.11 111.29 77.22
Fractional positions:
1 Ca 0.0000 0.0000 0.0000
2 Ca 0.3016 0.3016 0.0000
3 Ca 0.6984 0.6984 0.0000
4 Ga 0.2872 0.5000 0.7872
5 Ga 0.7128 0.5000 0.2128
6 Cu 0.0277 0.6759 0.3517
7 Cu 0.1591 0.8770 0.2821
8 Cu 0.3242 0.6759 0.6483
9 Cu 0.4050 0.1230 0.2821
10 Cu 0.5000 0.0000 0.5000
11 Cu 0.5950 0.8770 0.7179
12 Cu 0.6758 0.3241 0.3517
13 Cu 0.8409 0.1230 0.7179
14 Cu 0.9723 0.3241 0.6483

Main lines, sorted by position (2θ = 10–90°):
- 19.8 deg, d 4.481, intensity 50
- 35.2 deg, d 2.551, intensity 26
- 36.4 deg, d 2.469, intensity 100
- 36.8 deg, d 2.440, intensity 42
- 39.7 deg, d 2.271, intensity 55
- 42.2 deg, d 2.141, intensity 55
- 42.8 deg, d 2.115, intensity 76
- 43.8 deg, d 2.069, intensity 25
- 47.0 deg, d 1.932, intensity 48
- 47.4 deg, d 1.918, intensity 31



[11]
Diffraction record for CaErAgRh. The XRD peak list is theoretical, not measured: it uses a crystal structure in Alexandria, relaxed with PBE and Cu Ka.
No peak broadening, texture or thermal motion is included.

Structural model:
abc: 3.4632 3.4632 7.4298
angles: 90.00 90.00 90.00
Fractional positions:
1 Ca 0.0000 0.0000 0.0000
2 Er 0.0000 0.0000 0.5489
3 Ag 0.5000 0.5000 0.2868
4 Rh 0.5000 0.5000 0.7436

Main lines, sorted by position (2θ = 10–90°):
- 11.9 deg, d 7.430, intensity 45
- 28.4 deg, d 3.139, intensity 11
- 35.4 deg, d 2.533, intensity 100
- 36.7 deg, d 2.449, intensity 50
- 38.7 deg, d 2.326, intensity 11
- 45.0 deg, d 2.015, intensity 13
- 52.9 deg, d 1.732, intensity 17
- 62.8 deg, d 1.480, intensity 14
- 65.3 deg, d 1.430, intensity 32
- 75.0 deg, d 1.267, intensity 8



[12]
Diffraction record for Tb3SmDy7. The XRD peak list is theoretical, not measured: it uses a crystal structure in Alexandria, relaxed with PBE and Cu Ka.
No peak broadening, texture or thermal motion is included.

Structural model:
abc: 7.0528 7.0528 8.6024
angles: 90.00 90.00 120.00
Fractional positions:
1 Tb 0.1670 0.3339 0.0000
2 Tb 0.1670 0.8330 0.0000
3 Tb 0.6661 0.8330 0.0000
4 Sm 0.0000 0.0000 0.3379
5 Dy 0.0023 0.5012 0.3353
6 Dy 0.3312 0.1656 0.6669
7 Dy 0.3333 0.6667 0.6640
8 Dy 0.4988 0.5012 0.3353
9 Dy 0.4988 0.9977 0.3353
10 Dy 0.8344 0.1656 0.6669
11 Dy 0.8344 0.6688 0.6669

Main lines, sorted by position (2θ = 10–90°):
- 31.1 deg, d 2.878, intensity 100
- 31.2 deg, d 2.867, intensity 33
- 36.1 deg, d 2.490, intensity 67
- 51.9 deg, d 1.763, intensity 24
- 52.0 deg, d 1.758, intensity 24
- 61.7 deg, d 1.502, intensity 42
- 61.9 deg, d 1.499, intensity 14
- 64.8 deg, d 1.439, intensity 12
- 84.7 deg, d 1.144, intensity 12
- 87.5 deg, d 1.115, intensity 11



[13]
Diffraction record for Dy8YHo2. The XRD peak list is theoretical, not measured: it uses a crystal structure in Alexandria, relaxed with PBE and Cu Ka.
No peak broadening, texture or thermal motion is included.

Structural model:
abc: 5.3770 8.3314 8.3314
angles: 104.98 90.00 90.00
Fractional positions:
1 Dy 0.0000 0.0000 0.0000
2 Dy 0.0000 0.3285 0.3285
3 Dy 0.0000 0.4096 0.9170
4 Dy 0.0000 0.9170 0.4096
5 Dy 0.5000 0.3644 0.6347
6 Dy 0.5000 0.6347 0.3644
7 Dy 0.5000 0.6935 0.9646
8 Dy 0.5000 0.9646 0.6935
9 Y 0.0000 0.6643 0.6643
10 Ho 0.5000 0.0446 0.2837
11 Ho 0.5000 0.2837 0.0446

Main lines, sorted by position (2θ = 10–90°):
- 27.7 deg, d 3.222, intensity 20
- 31.8 deg, d 2.815, intensity 100
- 32.0 deg, d 2.798, intensity 80
- 33.4 deg, d 2.686, intensity 88
- 43.4 deg, d 2.083, intensity 14
- 47.9 deg, d 1.899, intensity 31
- 55.8 deg, d 1.647, intensity 13
- 58.6 deg, d 1.576, intensity 37
- 58.7 deg, d 1.572, intensity 15
- 64.3 deg, d 1.450, intensity 27



[14]
Diffraction record for AcTbPd3. The XRD peak list is theoretical, not measured: it uses a crystal structure in Alexandria, relaxed with PBE and Cu Ka.
No peak broadening, texture or thermal motion is included.

Structural model:
abc: 13.6974 13.6974 4.4392
angles: 90.00 90.00 163.32
Fractional positions:
1 Ac 0.0745 0.9255 0.7500
2 Ac 0.9255 0.0745 0.2500
3 Tb 0.2063 0.7937 0.2500
4 Tb 0.7937 0.2063 0.7500
5 Pd 0.3115 0.6885 0.2500
6 Pd 0.3721 0.6279 0.7500
7 Pd 0.4715 0.5285 0.7500
8 Pd 0.5285 0.4715 0.2500
9 Pd 0.6279 0.3721 0.2500
10 Pd 0.6885 0.3115 0.7500

Main lines, sorted by position (2θ = 10–90°):
- 24.0 deg, d 3.713, intensity 13
- 31.8 deg, d 2.813, intensity 100
- 32.3 deg, d 2.773, intensity 38
- 38.9 deg, d 2.313, intensity 38
- 40.6 deg, d 2.220, intensity 26
- 45.7 deg, d 1.986, intensity 19
- 52.8 deg, d 1.733, intensity 19
- 61.5 deg, d 1.507, intensity 22
- 62.8 deg, d 1.480, intensity 15
- 68.5 deg, d 1.371, intensity 11